# 1
Computed powder diffractogram
Compound: Pm2Sn3
Radiation: a wavelength of 1.5418 Å
Structure: a structure optimized by DFT (GGA-PBE)
Lines closer than 0.1° are merged.

Largest 10 diffraction maxima, sorted by position, 2θ = 15–90°:
32.2°, rel. 1000; 36.6°, rel. 320; 38.8°, rel. 164; 52.4°, rel. 50; 52.7°, rel. 84; 54.4°, rel. 208; 63.1°, rel. 191; 66.2°, rel. 130; 67.4°, rel. 82; 89.5°, rel. 80

Atomic structure:
Cell lengths 7.7636, 7.7636, 4.6371 Å; angles 90.00, 90.00, 90.00 degrees
Fractional positions:
1 Pm 0.1454 0.6949 0.0000
2 Pm 0.3051 0.1454 0.0000
3 Pm 0.6949 0.8546 0.0000
4 Pm 0.8546 0.3051 0.0000
5 Sn 0.0000 0.0000 0.5000
6 Sn 0.1725 0.3980 0.5000
7 Sn 0.3980 0.8275 0.5000
8 Sn 0.5000 0.5000 0.0000
9 Sn 0.6020 0.1725 0.5000
10 Sn 0.8275 0.6020 0.5000

***

# 2
Computed powder diffractogram
Compound: Tb3PmSn2
Radiation: a wavelength of 1.5418 Å
Structure: a structure optimized by DFT (GGA-PBE)
Lines closer than 0.1° are merged.

Largest 10 diffraction maxima, sorted by position, 2θ = 15–90°:
22.9°, rel. 208; 25.9°, rel. 952; 27.7°, rel. 185; 33.5°, rel. 1000; 35.0°, rel. 292; 35.5°, rel. 243; 40.2°, rel. 530; 40.9°, rel. 165; 43.5°, rel. 239; 53.3°, rel. 249

Atomic structure:
Cell lengths 8.6419, 8.6419, 8.6419 Å; angles 53.46, 53.46, 53.46 degrees
Fractional positions:
1 Tb 0.0190 0.7500 0.4810
2 Tb 0.2500 0.5190 0.9810
3 Tb 0.4810 0.0190 0.7500
4 Tb 0.5190 0.9810 0.2500
5 Tb 0.7500 0.4810 0.0190
6 Tb 0.9810 0.2500 0.5190
7 Pm 0.0000 0.0000 0.0000
8 Pm 0.5000 0.5000 0.5000
9 Sn 0.1442 0.1442 0.1442
10 Sn 0.3558 0.3558 0.3558
11 Sn 0.6442 0.6442 0.6442
12 Sn 0.8558 0.8558 0.8558

***

# 3
Computed powder diffractogram
Compound: TbPmSn6
Radiation: a wavelength of 1.5418 Å
Structure: a structure optimized by DFT (GGA-PBE)
Lines closer than 0.1° are merged.

Largest 10 diffraction maxima, sorted by position, 2θ = 15–90°:
32.7°, rel. 1000; 37.8°, rel. 169; 38.0°, rel. 336; 54.7°, rel. 237; 54.8°, rel. 118; 65.1°, rel. 142; 65.3°, rel. 283; 68.6°, rel. 123; 80.9°, rel. 20; 81.3°, rel. 40

Atomic structure:
Cell lengths 4.7353, 4.7353, 9.5086 Å; angles 90.00, 90.00, 90.00 degrees
Fractional positions:
1 Tb 0.0000 0.0000 0.0000
2 Pm 0.0000 0.0000 0.5000
3 Sn 0.0000 0.5000 0.2468
4 Sn 0.0000 0.5000 0.7532
5 Sn 0.5000 0.0000 0.2468
6 Sn 0.5000 0.0000 0.7532
7 Sn 0.5000 0.5000 0.0000
8 Sn 0.5000 0.5000 0.5000

***

# 4
Computed powder diffractogram
Compound: TbPm6Sn6
Radiation: a wavelength of 1.5418 Å
Structure: a structure optimized by DFT (GGA-PBE)
Lines closer than 0.1° are merged.

Largest 10 diffraction maxima, sorted by position, 2θ = 15–90°:
24.1°, rel. 364; 27.9°, rel. 790; 31.1°, rel. 756; 34.2°, rel. 1000; 39.3°, rel. 188; 47.0°, rel. 244; 49.4°, rel. 482; 61.4°, rel. 187; 64.8°, rel. 260; 66.1°, rel. 183

Atomic structure:
Cell lengths 7.3800, 7.3800, 9.1808 Å; angles 90.00, 90.00, 120.00 degrees
Fractional positions:
1 Tb 0.0000 0.0000 0.0000
2 Pm 0.0000 0.5000 0.2527
3 Pm 0.0000 0.5000 0.7473
4 Pm 0.5000 0.0000 0.2527
5 Pm 0.5000 0.0000 0.7473
6 Pm 0.5000 0.5000 0.2527
7 Pm 0.5000 0.5000 0.7473
8 Sn 0.0000 0.0000 0.3374
9 Sn 0.0000 0.0000 0.6626
10 Sn 0.3333 0.6667 0.0000
11 Sn 0.3333 0.6667 0.5000
12 Sn 0.6667 0.3333 0.0000
13 Sn 0.6667 0.3333 0.5000

***

Copy entry 4 word for word.
Computed powder diffractogram
Compound: TbPm6Sn6
Radiation: a wavelength of 1.5418 Å
Structure: a structure optimized by DFT (GGA-PBE)
Lines closer than 0.1° are merged.

Largest 10 diffraction maxima, sorted by position, 2θ = 15–90°:
24.1°, rel. 364; 27.9°, rel. 790; 31.1°, rel. 756; 34.2°, rel. 1000; 39.3°, rel. 188; 47.0°, rel. 244; 49.4°, rel. 482; 61.4°, rel. 187; 64.8°, rel. 260; 66.1°, rel. 183

Atomic structure:
Cell lengths 7.3800, 7.3800, 9.1808 Å; angles 90.00, 90.00, 120.00 degrees
Fractional positions:
1 Tb 0.0000 0.0000 0.0000
2 Pm 0.0000 0.5000 0.2527
3 Pm 0.0000 0.5000 0.7473
4 Pm 0.5000 0.0000 0.2527
5 Pm 0.5000 0.0000 0.7473
6 Pm 0.5000 0.5000 0.2527
7 Pm 0.5000 0.5000 0.7473
8 Sn 0.0000 0.0000 0.3374
9 Sn 0.0000 0.0000 0.6626
10 Sn 0.3333 0.6667 0.0000
11 Sn 0.3333 0.6667 0.5000
12 Sn 0.6667 0.3333 0.0000
13 Sn 0.6667 0.3333 0.5000

***

What did the first record say?
Computed powder diffractogram
Compound: Pm2Sn3
Radiation: a wavelength of 1.5418 Å
Structure: a structure optimized by DFT (GGA-PBE)
Lines closer than 0.1° are merged.

Largest 10 diffraction maxima, sorted by position, 2θ = 15–90°:
32.2°, rel. 1000; 36.6°, rel. 320; 38.8°, rel. 164; 52.4°, rel. 50; 52.7°, rel. 84; 54.4°, rel. 208; 63.1°, rel. 191; 66.2°, rel. 130; 67.4°, rel. 82; 89.5°, rel. 80

Atomic structure:
Cell lengths 7.7636, 7.7636, 4.6371 Å; angles 90.00, 90.00, 90.00 degrees
Fractional positions:
1 Pm 0.1454 0.6949 0.0000
2 Pm 0.3051 0.1454 0.0000
3 Pm 0.6949 0.8546 0.0000
4 Pm 0.8546 0.3051 0.0000
5 Sn 0.0000 0.0000 0.5000
6 Sn 0.1725 0.3980 0.5000
7 Sn 0.3980 0.8275 0.5000
8 Sn 0.5000 0.5000 0.0000
9 Sn 0.6020 0.1725 0.5000
10 Sn 0.8275 0.6020 0.5000